# 1
Diffraction record for EuHfS3. The PXRD pattern is theoretical, not measured: it uses a cell relaxed with GGA-PBE and CuKα.

Cell and atoms:
```
EuHfS3
1.0
7.097 0.000 0.000
0.000 9.718 0.000
0.000 0.000 6.690
Eu Hf S
4 4 12
Direct
0.084 0.250 0.026
0.416 0.750 0.526
0.584 0.250 0.474
0.916 0.750 0.974
0.000 0.000 0.500
0.000 0.500 0.500
0.500 0.000 0.000
0.500 0.500 0.000
0.022 0.750 0.398
0.194 0.552 0.811
0.194 0.948 0.811
0.306 0.052 0.311
0.306 0.448 0.311
0.478 0.250 0.898
0.522 0.750 0.102
0.694 0.552 0.689
0.694 0.948 0.689
0.806 0.052 0.189
0.806 0.448 0.189
0.978 0.250 0.602
```

The 12 most intense peaks (2θ from 10° to 90°), in order of rising 2θ:
2theta, Rel. int., (hkl)
20.40, 12, 1 1 1
25.09, 20, 2 0 0
25.91, 100, 1 2 1
26.67, 32, 0 0 2
36.96, 42, 0 4 0
40.44, 10, 3 0 1
41.53, 19, 3 1 1
45.23, 11, 2 4 0
46.18, 15, 0 4 2
46.61, 31, 1 2 3
53.27, 13, 2 4 2
60.21, 11, 1 6 1

***

# 2
Diffraction record for LaMg3. The PXRD pattern is theoretical, not measured: it uses a cell relaxed with GGA-PBE and CuKα.

Cell and atoms:
```
LaMg3
1.0
6.937 0.000 0.000
-3.469 6.008 0.000
0.000 0.000 5.267
La Mg
2 6
Direct
0.333 0.667 0.250
0.667 0.333 0.750
0.161 0.322 0.750
0.161 0.839 0.750
0.322 0.161 0.250
0.678 0.839 0.750
0.839 0.161 0.250
0.839 0.678 0.250
```

The 12 most intense peaks (2θ from 10° to 90°), in order of rising 2θ:
2theta, Rel. int., (hkl)
14.75, 30, 1 0 0
22.45, 82, 1 0 1
25.68, 38, 1 1 0
29.74, 25, 2 0 0
34.04, 23, 0 0 2
34.37, 100, 2 0 1
43.13, 19, 1 1 2
43.40, 26, 2 1 1
52.78, 19, 2 2 0
61.14, 18, 2 0 3
64.32, 21, 2 2 2
64.52, 15, 4 0 1

***

# 3
Diffraction record for Li10SnP2O12. The PXRD pattern is theoretical, not measured: it uses a cell relaxed with GGA-PBE and CuKα.

Cell and atoms:
```
Li10SnP2O12
1.0
6.837 0.000 0.000
-0.085 7.511 0.000
-0.053 -0.017 10.995
Li Sn P O
20 2 4 24
Direct
0.000 0.000 0.000
0.004 0.490 0.774
0.190 0.665 0.228
0.192 0.136 0.536
0.214 0.216 0.797
0.216 0.128 0.211
0.222 0.689 0.888
0.296 0.527 0.486
0.399 0.840 0.662
0.415 0.855 0.136
0.462 0.401 0.990
0.646 0.136 0.622
0.654 0.272 0.427
0.710 0.088 0.164
0.712 0.668 0.863
0.717 0.725 0.128
0.724 0.235 0.836
0.733 0.687 0.580
0.833 0.674 0.329
0.974 0.370 0.295
0.474 0.898 0.393
0.971 0.412 0.034
0.467 0.432 0.231
0.468 0.941 0.917
0.953 0.399 0.552
0.965 0.929 0.735
0.146 0.377 0.628
0.157 0.965 0.665
0.185 0.433 0.912
0.254 0.898 0.276
0.272 0.920 0.988
0.276 0.440 0.310
0.456 0.587 0.136
0.466 0.121 0.492
0.470 0.253 0.159
0.473 0.780 0.826
0.474 0.711 0.519
0.477 0.120 0.846
0.640 0.920 0.010
0.652 0.451 0.312
0.690 0.880 0.274
0.736 0.441 0.929
0.775 0.392 0.641
0.783 0.925 0.650
0.938 0.246 0.457
0.947 0.082 0.832
0.954 0.601 0.159
0.960 0.582 0.485
0.972 0.189 0.132
0.972 0.745 0.803
```

The 12 most intense peaks (2θ from 10° to 90°), in order of rising 2θ:
2theta, Rel. int., (hkl)
14.28, 66, 0 1 -1
15.26, 100, 1 0 -1
17.44, 76, 1 -1 0
17.64, 83, 1 1 0
20.01, 77, 0 1 -2
20.73, 75, 1 0 -2
23.69, 80, 0 2 0
23.83, 85, -1 1 2
24.04, 41, 1 1 2
26.07, 57, 2 0 0
33.08, 46, 2 1 -2
34.19, 64, 0 2 3

***

> What is the formula in the second record?

LaMg3